[1]
The following is a simulated PXRD pattern of K5NaF6. It was derived from a cell relaxed with GGA-PBE, using Cu Kα (weighted mean of Kα1 and Kα2).
Kinematic intensities with the Lorentz-polarization factor, no thermal factor.

Peak list (10 most intense, 2θ = 10–80°, by angle)
two_theta  d_spacing  Rel. int.  index
29.13  3.066  10.8  1 3 -1
29.17  3.061  10.1  2 0 0
33.79  2.653  100.0  1 3 1
48.52  1.876  50.7  1 3 -3
48.58  1.874  10.2  2 0 2
57.60  1.600  6.9  4 0 -2
57.68  1.598  2.2  2 0 -4
60.41  1.532  13.8  4 0 0
60.54  1.529  4.7  0 0 4
71.07  1.326  7.7  2 6 2

a b c (Å): 6.5012 11.2667 6.4909
angles (deg): 90.00 109.52 90.00
Space group C2/m (No. 12)
Symmetry-distinct sites (fractional):
K 0.0000 0.0000 0.0000 (multiplicity 2)
K 0.0000 0.1670 0.5000 (multiplicity 4)
K 0.0000 0.3339 0.0000 (multiplicity 4)
Na 0.0000 0.5000 0.5000 (multiplicity 2)
F 0.2334 0.5000 0.2644 (multiplicity 4)
F 0.2383 0.3424 0.7414 (multiplicity 8)

=====

[2]
The following is a simulated PXRD pattern of K3NaF6. It was derived from a cell relaxed with GGA-PBE, using Cu Kα (weighted mean of Kα1 and Kα2).
Kinematic intensities with the Lorentz-polarization factor, no thermal factor.

Peak list (10 most intense, 2θ = 10–80°, by angle)
two_theta  d_spacing  Rel. int.  index
16.32  5.431  50.3  0 1 2
18.25  4.862  21.4  1 1 0
26.27  3.393  34.3  1 1 3
31.88  2.807  41.3  3 0 0
36.97  2.431  15.9  2 2 0
37.98  2.369  40.8  0 0 6
41.76  2.163  100.0  2 2 3
42.46  2.129  20.0  1 1 6
53.49  1.713  26.4  1 4 3
54.05  1.697  23.9  2 2 6

a b c (Å): 9.7249 9.7249 14.2097
angles (deg): 90.00 90.00 120.00
Space group R-3c (No. 167, hexagonal axes)
Symmetry-distinct sites (fractional):
K 0.0000 0.3417 0.2500 (multiplicity 18)
Na 0.0000 0.0000 0.0000 (multiplicity 6)
F 0.0025 0.1951 0.4070 (multiplicity 36)

=====

[3]
The following is a simulated PXRD pattern of K2Na2F5. It was derived from a cell relaxed with GGA-PBE, using Cu Kα (weighted mean of Kα1 and Kα2).
Kinematic intensities with the Lorentz-polarization factor, no thermal factor.

Peak list (10 most intense, 2θ = 10–80°, by angle)
two_theta  d_spacing  Rel. int.  index
29.60  3.018  29.4  2 0 1
29.82  2.996  32.5  3 1 -1
30.44  2.936  80.2  2 0 -2
35.10  2.557  65.0  4 0 0
36.23  2.480  100.0  0 2 0
37.03  2.427  27.7  3 1 -2
45.81  1.981  30.0  2 0 2
48.03  1.894  43.5  2 2 -2
48.42  1.880  27.2  6 0 -2
51.33  1.780  37.6  4 2 0

a b c (Å): 11.5374 4.9594 5.8812
angles (deg): 90.00 117.57 90.00
Space group C2/m (No. 12)
Symmetry-distinct sites (fractional):
K 0.1119 0.0000 0.3864 (multiplicity 4)
Na 0.1380 0.5000 0.9242 (multiplicity 4)
F 0.0000 0.5000 0.5000 (multiplicity 2)
F 0.1246 0.5000 0.2949 (multiplicity 4)
F 0.1430 0.0000 0.9143 (multiplicity 4)

=====

[4]
The following is a simulated PXRD pattern of K2NaNdF6. It was derived from a cell relaxed with GGA-PBE, using Cu Kα (weighted mean of Kα1 and Kα2).
Kinematic intensities with the Lorentz-polarization factor, no thermal factor.

Peak list (10 most intense, 2θ = 10–80°, by angle)
two_theta  d_spacing  Rel. int.  index
16.92  5.241  70.0  1 1 1
19.56  4.539  42.0  2 0 0
27.80  3.209  100.0  2 2 0
32.72  2.737  41.8  3 1 1
39.72  2.269  56.9  4 0 0
43.45  2.083  19.2  3 3 1
44.64  2.030  20.2  4 2 0
49.17  1.853  40.5  4 2 2
57.42  1.605  34.2  4 4 0
78.92  1.213  19.9  6 4 2

a b c (Å): 9.0777 9.0777 9.0777
angles (deg): 90.00 90.00 90.00
Space group Fm-3m (No. 225)
Symmetry-distinct sites (fractional):
K 0.2500 0.2500 0.2500 (multiplicity 8)
Na 0.0000 0.0000 0.0000 (multiplicity 4)
Nd 0.0000 0.0000 0.5000 (multiplicity 4)
F 0.0000 0.0000 0.2502 (multiplicity 24)

=====

[5]
The following is a simulated PXRD pattern of K3NaP2O6F2. It was derived from a cell relaxed with GGA-PBE, using Cu Kα (weighted mean of Kα1 and Kα2).
Kinematic intensities with the Lorentz-polarization factor, no thermal factor.

Peak list (10 most intense, 2θ = 10–80°, by angle)
two_theta  d_spacing  Rel. int.  index
21.19  4.192  16.9  1 0 1
23.70  3.754  12.5  0 0 2
29.65  3.013  55.6  1 0 2
30.64  2.917  100.0  1 1 0
35.89  2.502  18.0  0 0 3
37.56  2.395  16.6  2 0 1
43.16  2.096  47.1  0 2 2
53.86  1.702  12.8  2 1 2
54.48  1.684  15.3  3 0 0
63.81  1.459  19.9  2 2 0

a b c (Å): 5.8350 5.8350 7.5073
angles (deg): 90.00 90.00 120.00
Space group P-3m1 (No. 164)
Symmetry-distinct sites (fractional):
K 0.0000 0.0000 0.0000 (multiplicity 1)
K 0.3333 0.6667 0.3270 (multiplicity 2)
Na 0.0000 0.0000 0.5000 (multiplicity 1)
P 0.3333 0.6667 0.7528 (multiplicity 2)
O 0.1868 0.3736 0.7054 (multiplicity 6)
F 0.3333 0.6667 0.9738 (multiplicity 2)